No. 1
Calculated X-ray powder pattern of Th6Br15N for Cu Kα (λ = 1.5418 Å), from a cell relaxed with GGA-PBE.

Most intense lines, 2θ from 10° to 90°, in order of rising 2θ:
d_spacing	2theta	intensity
8.069	11.0	79
4.659	19.0	29
3.050	29.3	58
2.853	31.4	100
2.433	36.9	31
2.017	44.9	70
1.647	55.8	24
1.553	59.5	21
1.276	74.3	28
1.165	82.9	20

Atomic structure:
```
data_Th6Br15N
_chemical_formula_sum 'Th6 Br15 N1'
_symmetry_space_group_name_H-M 'P 1'
_symmetry_Int_Tables_number 1
_symmetry_space_group_name_Hall 'P 1'
_cell_length_a 9.883
_cell_length_b 9.883
_cell_length_c 9.883
_cell_angle_alpha 109.47
_cell_angle_beta 109.47
_cell_angle_gamma 109.47
loop_
_atom_site_label
_atom_site_type_symbol
_atom_site_fract_x
_atom_site_fract_y
_atom_site_fract_z
Th1 Th 0.000 0.230 0.230
Th2 Th 0.000 0.770 0.770
Th3 Th 0.230 0.000 0.230
Th4 Th 0.230 0.230 0.000
Th5 Th 0.770 0.000 0.770
Th6 Th 0.770 0.770 0.000
Br1 Br 0.000 0.253 0.747
Br2 Br 0.000 0.500 0.500
Br3 Br 0.000 0.747 0.253
Br4 Br 0.253 0.000 0.747
Br5 Br 0.253 0.253 0.506
Br6 Br 0.253 0.506 0.253
Br7 Br 0.253 0.747 0.000
Br8 Br 0.494 0.747 0.747
Br9 Br 0.500 0.000 0.500
Br10 Br 0.500 0.500 0.000
Br11 Br 0.506 0.253 0.253
Br12 Br 0.747 0.000 0.253
Br13 Br 0.747 0.253 0.000
Br14 Br 0.747 0.494 0.747
Br15 Br 0.747 0.747 0.494
N1 N 0.000 0.000 0.000
```



No. 2
Calculated X-ray powder pattern of AcYTe2O8 for Cu Kα (λ = 1.5418 Å), from a cell relaxed with GGA-PBE.

Most intense lines, 2θ from 10° to 90°, in order of rising 2θ:
d_spacing	2theta	intensity
3.825	23.3	100
2.951	30.3	82
2.705	33.1	26
1.994	45.5	67
1.913	47.5	16
1.711	53.6	16
1.605	57.4	20
1.599	57.6	15
1.380	67.9	16
1.229	77.7	13

Atomic structure:
```
data_AcYTe2O8
_chemical_formula_sum 'Ac1 Y1 Te2 O8'
_symmetry_space_group_name_H-M 'P 1'
_symmetry_Int_Tables_number 1
_symmetry_space_group_name_Hall 'P 1'
_cell_length_a 6.455
_cell_length_b 6.455
_cell_length_c 6.455
_cell_angle_alpha 107.31
_cell_angle_beta 107.31
_cell_angle_gamma 113.88
loop_
_atom_site_label
_atom_site_type_symbol
_atom_site_fract_x
_atom_site_fract_y
_atom_site_fract_z
Ac1 Ac 0.000 0.000 0.000
Y1 Y 0.750 0.250 0.500
Te1 Te 0.250 0.750 0.500
Te2 Te 0.500 0.500 0.000
O1 O 0.062 0.387 0.325
O2 O 0.062 0.736 0.675
O3 O 0.111 0.307 0.804
O4 O 0.264 0.938 0.325
O5 O 0.503 0.307 0.196
O6 O 0.613 0.938 0.675
O7 O 0.693 0.497 0.804
O8 O 0.693 0.889 0.196
```



- Which formula does entry 1 have?
  Th6Br15N